InFe4F12: computed X-ray diffraction stick pattern (λ = 1.5418 Å (Cu Kα)), based on a cell relaxed with PBE+U.
No peak broadening, texture or thermal motion is included.

abc: 7.555 8.079 8.094
angles: 90.00 90.00 90.00
Space group Immm (No. 71)
One atom of each set of equivalent atoms:
In1 0.000 0.000 0.000
Fe1 0.250 0.250 0.250
F1 0.000 0.300 0.300
F2 0.175 0.000 0.225
F3 0.175 0.226 0.000

Principal peaks in the range 5 to 70 degrees two-theta, sorted by position:
index  d (Å)  two_theta  Rel. int.
0 1 1  5.718  15.5  67.7
1 0 1  5.521  16.1  100.0
0 2 0  4.043  22.0  47.0
1 2 1  3.262  27.3  35.6
0 2 2  2.859  31.3  34.9
2 2 0  2.760  32.4  81.1
3 1 2  2.067  43.8  32.1
0 4 0  2.022  44.8  51.2
2 4 2  1.631  56.4  43.4
4 2 2  1.576  58.6  31.8